(1)
Calculated powder diffraction line list of NaNi3Pb5 for Cu Kα, 1.54184 Å, from a cell relaxed with GGA-PBE.

Atomic structure:
abc: 5.4331 5.4331 8.2488
angles: 90.00 90.00 120.00
Space group P6/mmm (No. 191)
Asymmetric unit:
Na: 0.0000 0.0000 0.0000 x1
Ni: 0.0000 0.5000 0.5000 x3
Pb: 0.0000 0.0000 0.5000 x1
Pb: 0.3333 0.6667 0.2170 x4

Principal peaks in the range 2θ = 10–90°, sorted by position:
- 28.8 deg, I 84.6
- 33.0 deg, I 100.0
- 39.7 deg, I 43.3
- 44.3 deg, I 58.9
- 47.0 deg, I 27.8
- 56.3 deg, I 27.2

=====

(2)
Calculated powder diffraction line list of Na2Y2NiSn2Pd for Cu Kα, 1.54184 Å, from a cell relaxed with GGA-PBE.

Atomic structure:
abc: 4.842 4.842 6.874
angles: 90.00 90.00 90.00
Space group P-4m2 (No. 115)
Asymmetric unit:
Na: 0.000 0.000 0.000 x1
Na: 0.500 0.500 0.500 x1
Y: 0.000 0.500 0.243 x2
Ni: 0.500 0.500 0.000 x1
Sn: 0.000 0.500 0.756 x2
Pd: 0.000 0.000 0.500 x1

Principal peaks in the range 2θ = 10–90°, sorted by position:
- 22.5 deg, I 11.0
- 26.0 deg, I 8.1
- 37.1 deg, I 100.0
- 53.5 deg, I 11.4
- 66.8 deg, I 11.4
- 66.9 deg, I 23.0

=====

(3)
Calculated powder diffraction line list of NaNi2Se3 for Cu Kα, 1.54184 Å, from a cell relaxed with GGA-PBE.

Atomic structure:
abc: 3.564 13.125 9.759
angles: 90.00 90.00 90.00
Space group Cmcm (No. 63)
Asymmetric unit:
Na: 0.000 0.247 0.250 x4
Ni: 0.000 0.000 0.000 x4
Ni: 0.000 0.450 0.750 x4
Se: 0.000 0.062 0.750 x4
Se: 0.000 0.374 0.535 x8

Principal peaks in the range 2θ = 10–90°, sorted by position:
- 13.5 deg, I 100.0
- 32.4 deg, I 32.5
- 33.7 deg, I 60.3
- 36.8 deg, I 44.0
- 37.4 deg, I 47.3
- 46.8 deg, I 27.5

=====

(4)
Calculated powder diffraction line list of NaTcNiSe3 for Cu Kα, 1.54184 Å, from a cell relaxed with GGA-PBE.

Atomic structure:
abc: 3.557 14.000 9.515
angles: 90.00 90.00 90.00
Space group Cmcm (No. 63)
Asymmetric unit:
Na: 0.000 0.243 0.250 x4
Tc: 0.000 0.000 0.000 x4
Ni: 0.000 0.471 0.750 x4
Se: 0.000 0.079 0.750 x4
Se: 0.000 0.374 0.554 x8

Principal peaks in the range 2θ = 10–90°, sorted by position:
- 12.6 deg, I 100.0
- 31.0 deg, I 22.9
- 33.0 deg, I 37.6
- 37.0 deg, I 53.0
- 37.8 deg, I 19.5
- 45.4 deg, I 39.6